(1)
Computed X-ray powder pattern
Compound: Tl6Hg23Te
Radiation: Cu Kα (λ = 1.5418 Å)
Structure: the PBE geometry in Alexandria
Intensities are scaled so that the largest is 100.

Peak list (10 most intense, 2θ from 10° to 90°, by angle)
d_spacing  intensity
2.920  31.8
2.682  100.0
2.564  10.2
1.975  7.7
1.896  10.3
1.665  7.2
1.590  10.5
1.548  21.6
1.525  8.9
1.467  8.6

Lattice parameters (Å, degrees): 10.7275 10.7275 10.7275 60.00 60.00 60.00
Fractional coordinates of all 30 atoms:
Tl 0.2203 0.2203 0.7797
Tl 0.2203 0.7797 0.2203
Tl 0.2203 0.7797 0.7797
Tl 0.7797 0.2203 0.2203
Tl 0.7797 0.2203 0.7797
Tl 0.7797 0.7797 0.2203
Hg 0.0000 0.0000 0.5000
Hg 0.0000 0.5000 0.0000
Hg 0.0000 0.5000 0.5000
Hg 0.1426 0.6191 0.6191
Hg 0.1613 0.1613 0.1613
Hg 0.1613 0.1613 0.5160
Hg 0.1613 0.5160 0.1613
Hg 0.3809 0.3809 0.3809
Hg 0.3809 0.3809 0.8574
Hg 0.3809 0.8574 0.3809
Hg 0.4840 0.8387 0.8387
Hg 0.5000 0.0000 0.0000
Hg 0.5000 0.0000 0.5000
Hg 0.5000 0.5000 0.0000
Hg 0.5000 0.5000 0.5000
Hg 0.5160 0.1613 0.1613
Hg 0.6191 0.1426 0.6191
Hg 0.6191 0.6191 0.1426
Hg 0.6191 0.6191 0.6191
Hg 0.8387 0.4840 0.8387
Hg 0.8387 0.8387 0.4840
Hg 0.8387 0.8387 0.8387
Hg 0.8574 0.3809 0.3809
Te 0.0000 0.0000 0.0000

---

(2)
Computed X-ray powder pattern
Compound: MnZnI5
Radiation: Cu Kα (λ = 1.5418 Å)
Structure: the PBE geometry in Alexandria
Intensities are scaled so that the largest is 100.

Peak list (10 most intense, 2θ from 10° to 90°, by angle)
d_spacing  intensity
4.914  60.7
4.596  43.1
3.621  100.0
3.582  63.5
3.354  49.3
2.959  38.1
2.853  36.8
2.722  53.7
2.581  35.6
1.950  45.3

Lattice parameters (Å, degrees): 10.8882 9.1928 11.4131 90.00 90.00 90.00
Fractional coordinates of all 28 atoms:
Mn 0.1261 0.2500 0.2470
Mn 0.3739 0.7500 0.7470
Mn 0.6261 0.2500 0.2530
Mn 0.8739 0.7500 0.7530
Zn 0.1259 0.7500 0.0890
Zn 0.3741 0.2500 0.5890
Zn 0.6259 0.7500 0.4110
Zn 0.8741 0.2500 0.9110
I 0.0918 0.2500 0.0065
I 0.1249 0.7500 0.6923
I 0.1261 0.5530 0.2645
I 0.1261 0.9470 0.2645
I 0.1579 0.2500 0.4916
I 0.3421 0.7500 0.9916
I 0.3739 0.0530 0.7645
I 0.3739 0.4470 0.7645
I 0.3751 0.2500 0.1923
I 0.4082 0.7500 0.5065
I 0.5918 0.2500 0.4935
I 0.6249 0.7500 0.8077
I 0.6261 0.5530 0.2355
I 0.6261 0.9470 0.2355
I 0.6579 0.2500 0.0084
I 0.8421 0.7500 0.5084
I 0.8739 0.0530 0.7355
I 0.8739 0.4470 0.7355
I 0.8751 0.2500 0.3077
I 0.9082 0.7500 0.9935

---

(3)
Computed X-ray powder pattern
Compound: MgTlZnHg
Radiation: Cu Kα (λ = 1.5418 Å)
Structure: the PBE geometry in Alexandria
Intensities are scaled so that the largest is 100.

Peak list (10 most intense, 2θ from 10° to 90°, by angle)
d_spacing  intensity
4.109  2.0
3.559  45.0
2.517  100.0
2.055  14.0
1.779  17.8
1.592  19.2
1.453  36.6
1.258  11.4
1.186  9.7
1.125  16.6

Lattice parameters (Å, degrees): 7.1178 7.1178 7.1178 90.00 90.00 90.00
Fractional coordinates of all 16 atoms:
Mg 0.0000 0.0000 0.0000
Mg 0.0000 0.5000 0.5000
Mg 0.5000 0.0000 0.5000
Mg 0.5000 0.5000 0.0000
Tl 0.2500 0.2500 0.7500
Tl 0.2500 0.7500 0.2500
Tl 0.7500 0.2500 0.2500
Tl 0.7500 0.7500 0.7500
Zn 0.0000 0.0000 0.5000
Zn 0.0000 0.5000 0.0000
Zn 0.5000 0.0000 0.0000
Zn 0.5000 0.5000 0.5000
Hg 0.2500 0.2500 0.2500
Hg 0.2500 0.7500 0.7500
Hg 0.7500 0.2500 0.7500
Hg 0.7500 0.7500 0.2500

---

(4)
Computed X-ray powder pattern
Compound: Ca3HoPb4
Radiation: Cu Kα (λ = 1.5418 Å)
Structure: the PBE geometry in Alexandria
Intensities are scaled so that the largest is 100.

Peak list (10 most intense, 2θ from 10° to 90°, by angle)
d_spacing  intensity
4.545  17.4
3.598  20.5
2.821  100.0
2.544  38.0
2.273  13.5
1.799  13.6
1.695  22.0
1.517  32.0
1.411  12.0
1.103  14.5

Lattice parameters (Å, degrees): 3.5984 3.5984 18.1814 90.00 90.00 90.00
Fractional coordinates of all 8 atoms:
Ca 0.0000 0.0000 0.0000
Ca 0.0000 0.0000 0.2511
Ca 0.0000 0.0000 0.7489
Ho 0.0000 0.0000 0.5000
Pb 0.5000 0.5000 0.1263
Pb 0.5000 0.5000 0.3794
Pb 0.5000 0.5000 0.6206
Pb 0.5000 0.5000 0.8737

---

(5)
Computed X-ray powder pattern
Compound: Ba4Pr2Cu6O15
Radiation: Cu Kα (λ = 1.5418 Å)
Structure: the PBE geometry in Alexandria
Intensities are scaled so that the largest is 100.

Peak list (10 most intense, 2θ from 10° to 90°, by angle)
d_spacing  intensity
3.968  9.6
2.806  46.8
2.785  100.0
2.279  15.5
1.984  29.1
1.954  11.6
1.616  38.1
1.604  19.3
1.403  8.6
1.392  14.3

Lattice parameters (Å, degrees): 12.3791 12.3766 5.6123 76.92 76.87 26.21
Fractional coordinates of all 27 atoms:
Ba 0.1546 0.6717 0.8454
Ba 0.3283 0.8454 0.6717
Ba 0.6717 0.1546 0.3283
Ba 0.8454 0.3283 0.1546
Pr 0.0000 0.5000 0.0000
Pr 0.5000 0.0000 0.5000
Cu 0.0813 0.5769 0.4231
Cu 0.2404 0.7596 0.2404
Cu 0.4231 0.9187 0.0813
Cu 0.5769 0.0813 0.9187
Cu 0.7596 0.2404 0.7596
Cu 0.9187 0.4231 0.5769
O 0.0000 0.0000 0.0000
O 0.0000 0.0000 0.5000
O 0.1830 0.1830 0.8170
O 0.1850 0.1850 0.3150
O 0.1874 0.6516 0.3484
O 0.3139 0.3139 0.6861
O 0.3150 0.3150 0.1850
O 0.3484 0.8126 0.1874
O 0.5000 0.5000 0.0000
O 0.6516 0.1874 0.8126
O 0.6850 0.6850 0.8150
O 0.6861 0.6861 0.3139
O 0.8126 0.3484 0.6516
O 0.8150 0.8150 0.6850
O 0.8170 0.8170 0.1830

---

(6)
Computed X-ray powder pattern
Compound: ScV2Cu
Radiation: Cu Kα (λ = 1.5418 Å)
Structure: the PBE geometry in Alexandria
Intensities are scaled so that the largest is 100.

Peak list (8 most intense, 2θ from 10° to 90°, by angle)
d_spacing  intensity
3.584  3.2
3.104  0.5
2.195  100.0
1.872  1.7
1.552  15.2
1.424  0.7
1.267  28.8
1.098  9.0

Lattice parameters (Å, degrees): 6.2085 6.2085 6.2085 90.00 90.00 90.00
Fractional coordinates of all 16 atoms:
Sc 0.0000 0.0000 0.0000
Sc 0.0000 0.5000 0.5000
Sc 0.5000 0.0000 0.5000
Sc 0.5000 0.5000 0.0000
V 0.2500 0.2500 0.2500
V 0.2500 0.2500 0.7500
V 0.2500 0.7500 0.2500
V 0.2500 0.7500 0.7500
V 0.7500 0.2500 0.2500
V 0.7500 0.2500 0.7500
V 0.7500 0.7500 0.2500
V 0.7500 0.7500 0.7500
Cu 0.0000 0.0000 0.5000
Cu 0.0000 0.5000 0.0000
Cu 0.5000 0.0000 0.0000
Cu 0.5000 0.5000 0.5000

---

(7)
Computed X-ray powder pattern
Compound: CeTm4Sc
Radiation: Cu Kα (λ = 1.5418 Å)
Structure: the PBE geometry in Alexandria
Intensities are scaled so that the largest is 100.

Peak list (10 most intense, 2θ from 10° to 90°, by angle)
d_spacing  intensity
3.035  24.5
2.769  24.7
2.662  100.0
2.046  16.1
1.752  19.1
1.577  20.5
1.481  21.9
1.464  15.8
1.172  7.7
1.123  13.7

Lattice parameters (Å, degrees): 5.5389 3.5027 18.2200 90.00 90.00 90.00
Fractional coordinates of all 12 atoms:
Ce 0.0000 0.0000 0.0000
Ce 0.0000 0.5000 0.5000
Tm 0.0000 0.0000 0.3290
Tm 0.0000 0.0000 0.6656
Tm 0.0000 0.5000 0.1656
Tm 0.0000 0.5000 0.8290
Tm 0.5000 0.0000 0.5556
Tm 0.5000 0.0000 0.8844
Tm 0.5000 0.5000 0.0556
Tm 0.5000 0.5000 0.3844
Sc 0.5000 0.0000 0.2211
Sc 0.5000 0.5000 0.7211

---

(8)
Computed X-ray powder pattern
Compound: Pm2TmPd5
Radiation: Cu Kα (λ = 1.5418 Å)
Structure: the PBE geometry in Alexandria
Intensities are scaled so that the largest is 100.

Peak list (10 most intense, 2θ from 10° to 90°, by angle)
d_spacing  intensity
2.894  16.5
2.771  17.7
2.469  100.0
2.367  56.8
2.291  13.3
2.134  14.6
1.674  16.4
1.477  12.6
1.448  13.1
1.385  30.2

Lattice parameters (Å, degrees): 6.6947 6.6947 7.3144 90.00 90.00 90.00
Fractional coordinates of all 16 atoms:
Pm 0.0000 0.5000 0.0000
Pm 0.0000 0.5000 0.5000
Pm 0.5000 0.0000 0.0000
Pm 0.5000 0.0000 0.5000
Tm 0.0000 0.0000 0.1283
Tm 0.5000 0.5000 0.6283
Pd 0.0000 0.0000 0.4985
Pd 0.2151 0.2151 0.7656
Pd 0.2151 0.7849 0.7656
Pd 0.2849 0.2849 0.2656
Pd 0.2849 0.7151 0.2656
Pd 0.5000 0.5000 0.9985
Pd 0.7151 0.2849 0.2656
Pd 0.7151 0.7151 0.2656
Pd 0.7849 0.2151 0.7656
Pd 0.7849 0.7849 0.7656

---

(9)
Computed X-ray powder pattern
Compound: Li8ZnAg5
Radiation: Cu Kα (λ = 1.5418 Å)
Structure: the PBE geometry in Alexandria
Intensities are scaled so that the largest is 100.

Peak list (10 most intense, 2θ from 10° to 90°, by angle)
d_spacing  intensity
5.467  15.2
4.033  11.7
3.246  57.6
3.178  100.0
2.540  15.2
2.455  36.7
2.445  23.9
2.123  34.9
2.072  14.1
1.729  15.4

Lattice parameters (Å, degrees): 6.7938 6.7938 6.7938 110.63 110.63 107.17
Fractional coordinates of all 14 atoms:
Li 0.1103 0.6945 0.7808
Li 0.1616 0.2681 0.7694
Li 0.3055 0.0863 0.4158
Li 0.4986 0.3921 0.2306
Li 0.6079 0.8384 0.1065
Li 0.6705 0.8897 0.5842
Li 0.7319 0.5014 0.8935
Li 0.9137 0.3295 0.2192
Zn 0.0000 0.0000 0.0000
Ag 0.2203 0.6329 0.1753
Ag 0.3671 0.5424 0.5874
Ag 0.4576 0.0450 0.8247
Ag 0.7500 0.2500 0.5000
Ag 0.9550 0.7797 0.4126

---

(10)
Computed X-ray powder pattern
Compound: LaCd3In3
Radiation: Cu Kα (λ = 1.5418 Å)
Structure: the PBE geometry in Alexandria
Intensities are scaled so that the largest is 100.

Peak list (10 most intense, 2θ from 10° to 90°, by angle)
d_spacing  intensity
3.899  41.8
3.183  100.0
2.251  29.1
2.084  60.3
1.949  31.1
1.744  17.0
1.662  14.5
1.424  17.1
1.378  19.3
1.265  17.2

Lattice parameters (Å, degrees): 7.7974 7.7974 7.7974 90.00 90.00 90.00
Fractional coordinates of all 14 atoms:
La 0.0000 0.0000 0.0000
La 0.5000 0.5000 0.5000
Cd 0.0000 0.2500 0.5000
Cd 0.0000 0.7500 0.5000
Cd 0.2500 0.5000 0.0000
Cd 0.5000 0.0000 0.2500
Cd 0.5000 0.0000 0.7500
Cd 0.7500 0.5000 0.0000
In 0.0000 0.5000 0.2500
In 0.0000 0.5000 0.7500
In 0.2500 0.0000 0.5000
In 0.5000 0.2500 0.0000
In 0.5000 0.7500 0.0000
In 0.7500 0.0000 0.5000

---

(11)
Computed X-ray powder pattern
Compound: La2Ta
Radiation: Cu Kα (λ = 1.5418 Å)
Structure: the PBE geometry in Alexandria
Intensities are scaled so that the largest is 100.

Peak list (10 most intense, 2θ from 10° to 90°, by angle)
d_spacing  intensity
5.390  30.5
2.982  100.0
2.695  28.2
2.673  53.4
2.410  65.5
2.395  66.0
1.771  22.7
1.758  21.3
1.620  18.9
1.552  34.8

Lattice parameters (Å, degrees): 7.6220 7.6220 6.1561 90.00 90.00 90.00
Fractional coordinates of all 12 atoms:
La 0.1676 0.3324 0.0000
La 0.1676 0.6676 0.5000
La 0.3324 0.1676 0.5000
La 0.3324 0.8324 0.0000
La 0.6676 0.1676 0.0000
La 0.6676 0.8324 0.5000
La 0.8324 0.3324 0.5000
La 0.8324 0.6676 0.0000
Ta 0.0000 0.0000 0.2500
Ta 0.0000 0.0000 0.7500
Ta 0.5000 0.5000 0.2500
Ta 0.5000 0.5000 0.7500

---

(12)
Computed X-ray powder pattern
Compound: LiPb6
Radiation: Cu Kα (λ = 1.5418 Å)
Structure: the PBE geometry in Alexandria
Intensities are scaled so that the largest is 100.

Peak list (10 most intense, 2θ from 10° to 90°, by angle)
d_spacing  intensity
2.817  100.0
2.722  83.4
2.268  14.0
1.957  32.8
1.626  20.2
1.607  35.5
1.554  11.9
1.408  12.6
1.251  15.9
1.225  11.3

Lattice parameters (Å, degrees): 8.3153 8.3153 8.3153 39.60 39.60 39.60
Fractional coordinates of all 7 atoms:
Li 0.0000 0.0000 0.0000
Pb 0.1342 0.1342 0.1342
Pb 0.2788 0.2788 0.2788
Pb 0.4246 0.4246 0.4246
Pb 0.5754 0.5754 0.5754
Pb 0.7212 0.7212 0.7212
Pb 0.8658 0.8658 0.8658

---

(13)
Computed X-ray powder pattern
Compound: TbB5Rh7
Radiation: Cu Kα (λ = 1.5418 Å)
Structure: the PBE geometry in Alexandria
Intensities are scaled so that the largest is 100.

Peak list (10 most intense, 2θ from 10° to 90°, by angle)
d_spacing  intensity
2.941  45.9
2.465  100.0
2.457  59.4
2.419  95.1
2.280  60.6
2.049  47.4
2.000  69.8
1.860  23.6
1.740  41.3
1.414  21.5

Lattice parameters (Å, degrees): 6.1880 6.1880 6.1880 133.05 95.42 102.88
Fractional coordinates of all 13 atoms:
Tb 0.0000 0.0000 0.0000
B 0.0052 0.5622 0.0766
B 0.0052 0.9286 0.4430
B 0.4856 0.5622 0.5570
B 0.4856 0.9286 0.9234
B 0.7940 0.2940 0.5000
Rh 0.1555 0.4502 0.7053
Rh 0.2534 0.7534 0.5000
Rh 0.3331 0.3331 0.0000
Rh 0.4211 0.0867 0.3344
Rh 0.6668 0.6668 0.0000
Rh 0.7448 0.4502 0.2947
Rh 0.7523 0.0867 0.6656